# AgH2PtF8
Computed XRD peak list, a wavelength of 1.5418 Å. Input: a crystal structure in Alexandria, relaxed with GGA-PBE.
Peak positions follow from Bragg's law for the DFT cell and can differ from measured ones.

Peak list (10 most intense, 2θ = 10–80°, in order of falling intensity)
d/Å	2theta	I (rel.)	(hkl)
4.735	18.74	100	0 1 0
4.660	19.05	97	1 0 0
3.908	22.75	65	1 -1 0
3.483	25.57	46	0 0 2
3.100	28.80	35	0 1 -2
2.460	36.52	35	1 1 -2
2.938	30.42	33	1 1 0
2.687	33.35	29	1 0 2
2.367	38.01	25	2 -1 0
6.967	12.71	25	0 0 1

Crystal structure
```
AgH2PtF8
1.0
4.8532 0.0000 0.0000
-1.3422 4.8227 0.0000
-0.2193 -1.3435 6.9667
Ag H Pt F
1 2 1 8
Cartesian
0.0000 0.0000 0.0000
0.3795 1.5098 5.7646
2.9122 1.9694 1.2020
-0.1096 -0.6718 3.4833
0.7483 0.4084 2.1040
0.0224 2.9135 3.4568
0.6976 0.2555 5.0216
0.3006 2.1326 6.5239
2.9912 1.3466 0.4427
2.5941 3.2237 1.9451
3.2694 0.5657 3.5099
2.5435 3.0708 4.8626
```